[1]
For Y3Sn, a crystal structure in the Materials Project, relaxed with GGA-PBE gives the calculated powder diffractogram in this record (Cu Ka).
Lines closer than 0.1° are merged.

The 8 most intense peaks (10° ≤ 2θ ≤ 80°), by angle:
Position (°2θ)	I/Imax
31.93	100
34.06	21
38.45	30
52.30	24
55.51	10
59.63	16
65.49	25
66.75	12

Atomic structure:
```
Y3Sn
1.0
-2.341 2.341 5.264
2.341 -2.341 5.264
2.341 2.341 -5.264
Y Sn
3 1
direct
0.000 0.000 0.000
0.250 0.750 0.500
0.750 0.250 0.500
0.500 0.500 0.000
```



[2]
For YHo3, a crystal structure in the Materials Project, relaxed with GGA-PBE gives the calculated powder diffractogram in this record (Cu Ka).
Lines closer than 0.1° are merged.

The 8 most intense peaks (10° ≤ 2θ ≤ 80°), by angle:
Position (°2θ)	I/Imax
17.69	4
25.12	4
30.89	100
35.82	51
51.56	36
61.33	42
64.37	12
75.91	6

Atomic structure:
```
YHo3
1.0
5.014 0.000 0.000
0.000 5.014 0.000
0.000 0.000 5.014
Y Ho
1 3
direct
0.000 0.000 0.000
0.000 0.500 0.500
0.500 0.000 0.500
0.500 0.500 0.000
```



[3]
For NdCoRu, a crystal structure in the Materials Project, relaxed with GGA-PBE gives the calculated powder diffractogram in this record (Cu Ka).
Lines closer than 0.1° are merged.

The 8 most intense peaks (10° ≤ 2θ ≤ 80°), by angle:
Position (°2θ)	I/Imax
33.52	84
33.79	34
38.95	59
39.12	34
39.92	69
40.40	100
64.94	31
70.45	43

Atomic structure:
```
NdCoRu
1.0
-2.597 2.653 3.854
2.597 -2.653 3.854
2.597 2.653 -3.854
Nd Co Ru
2 2 2
direct
0.373 0.123 0.250
0.627 0.877 0.750
0.000 0.500 0.500
0.500 0.500 0.000
0.000 0.000 0.500
0.000 0.500 0.000
```



Copy entry 3 word for word.
For NdCoRu, a crystal structure in the Materials Project, relaxed with GGA-PBE gives the calculated powder diffractogram in this record (Cu Ka).
Lines closer than 0.1° are merged.

The 8 most intense peaks (10° ≤ 2θ ≤ 80°), by angle:
Position (°2θ)	I/Imax
33.52	84
33.79	34
38.95	59
39.12	34
39.92	69
40.40	100
64.94	31
70.45	43

Atomic structure:
```
NdCoRu
1.0
-2.597 2.653 3.854
2.597 -2.653 3.854
2.597 2.653 -3.854
Nd Co Ru
2 2 2
direct
0.373 0.123 0.250
0.627 0.877 0.750
0.000 0.500 0.500
0.500 0.500 0.000
0.000 0.000 0.500
0.000 0.500 0.000
```